# 1
For TcPd3Pt6, a DFT-relaxed cell (GGA-PBE, Alexandria) gives the calculated X-ray diffraction stick pattern in this record (Cu Kα).
Lines closer than 0.1° are merged.

Crystal structure
Lattice parameters (Å, degrees): 5.2032 5.2032 7.4312 109.78 109.78 60.80
Fractional positions:
1 Tc 0.0000 0.0000 0.0000
2 Pd 0.4308 0.4308 0.8083
3 Pd 0.5000 0.5000 0.5000
4 Pd 0.5692 0.5692 0.1917
5 Pt 0.0641 0.5694 0.1918
6 Pt 0.1316 0.1316 0.4021
7 Pt 0.4306 0.9359 0.8082
8 Pt 0.5694 0.0641 0.1918
9 Pt 0.8684 0.8684 0.5979
10 Pt 0.9359 0.4306 0.8082

The 8 most intense peaks (5 to 70 degrees two-theta), low angle first:
2θ (°)  intensity
36.40  30
36.83  49
39.97  100
40.36  91
40.51  42
40.64  49
41.28  26
43.38  33


# 2
For TcPd2Pt5, a DFT-relaxed cell (GGA-PBE, Alexandria) gives the calculated X-ray diffraction stick pattern in this record (Cu Kα).
Lines closer than 0.1° are merged.

Crystal structure
Lattice parameters (Å, degrees): 8.3663 8.3663 8.3663 152.66 152.66 39.05
Fractional positions:
1 Tc 0.0000 0.0000 0.0000
2 Pd 0.2511 0.2511 0.0000
3 Pd 0.7489 0.7489 0.0000
4 Pt 0.1214 0.6214 0.5000
5 Pt 0.3786 0.8786 0.5000
6 Pt 0.5000 0.5000 0.0000
7 Pt 0.6214 0.1214 0.5000
8 Pt 0.8786 0.3786 0.5000

The 8 most intense peaks (5 to 70 degrees two-theta), low angle first:
2θ (°)  intensity
11.22  4
22.55  4
32.01  4
39.51  100
45.90  33
46.04  16
66.94  11
67.05  21


# 3
For Te3PdPt, a DFT-relaxed cell (GGA-PBE, Alexandria) gives the calculated X-ray diffraction stick pattern in this record (Cu Kα).
Lines closer than 0.1° are merged.

Crystal structure
Lattice parameters (Å, degrees): 6.9421 6.9421 5.7240 90.00 90.00 120.00
Fractional positions:
1 Te 0.0259 0.3586 0.2500
2 Te 0.0259 0.6673 0.7500
3 Te 0.3327 0.3586 0.7500
4 Te 0.3327 0.9741 0.2500
5 Te 0.6414 0.6673 0.2500
6 Te 0.6414 0.9741 0.7500
7 Pd 0.6667 0.3333 0.0000
8 Pd 0.6667 0.3333 0.5000
9 Pt 0.0000 0.0000 0.0000
10 Pt 0.0000 0.0000 0.5000

The 8 most intense peaks (5 to 70 degrees two-theta), low angle first:
2θ (°)  intensity
14.73  48
29.72  25
30.11  98
34.71  27
40.87  100
45.25  67
54.91  18
62.60  27


# 4
For Te2PdPt, a DFT-relaxed cell (GGA-PBE, Alexandria) gives the calculated X-ray diffraction stick pattern in this record (Cu Kα).
Lines closer than 0.1° are merged.

Crystal structure
Lattice parameters (Å, degrees): 7.0520 7.0520 7.0520 132.55 69.29 132.65
Fractional positions:
1 Te 0.1584 0.2480 0.4064
2 Te 0.3416 0.7480 0.0896
3 Te 0.6584 0.2520 0.9104
4 Te 0.8416 0.7520 0.5936
5 Pd 0.2500 0.7500 0.5000
6 Pd 0.7500 0.2500 0.5000
7 Pt 0.2500 0.2500 0.0000
8 Pt 0.7500 0.7500 0.0000

The 8 most intense peaks (5 to 70 degrees two-theta), low angle first:
2θ (°)  intensity
15.27  47
27.04  64
35.24  100
44.70  69
45.24  46
46.99  20
53.50  20
67.27  27


# 5
For ThPd4Pt2, a DFT-relaxed cell (GGA-PBE, Alexandria) gives the calculated X-ray diffraction stick pattern in this record (Cu Kα).
Lines closer than 0.1° are merged.

Crystal structure
Lattice parameters (Å, degrees): 5.0732 5.2403 5.4599 99.04 97.08 113.00
Fractional positions:
1 Th 0.0000 0.0000 0.0000
2 Pd 0.4382 0.9742 0.7286
3 Pd 0.5000 0.5000 0.0000
4 Pd 0.5000 0.5000 0.5000
5 Pd 0.5618 0.0258 0.2714
6 Pt 0.0249 0.5511 0.2675
7 Pt 0.9751 0.4489 0.7325

The 8 most intense peaks (5 to 70 degrees two-theta), low angle first:
2θ (°)  intensity
38.29  100
39.41  76
39.81  82
40.36  79
40.63  25
40.93  77
42.05  69
53.88  26


# 6
For ThPd6Pt23, a DFT-relaxed cell (GGA-PBE, Alexandria) gives the calculated X-ray diffraction stick pattern in this record (Cu Kα).
Lines closer than 0.1° are merged.

Crystal structure
Lattice parameters (Å, degrees): 9.6292 9.6292 9.6292 130.99 130.99 71.82
Fractional positions:
1 Th 0.0000 0.0000 0.0000
2 Pd 0.2452 0.2452 0.0000
3 Pd 0.2535 0.2535 0.5070
4 Pd 0.2535 0.7465 0.0000
5 Pd 0.7465 0.2535 0.0000
6 Pd 0.7465 0.7465 0.4930
7 Pd 0.7548 0.7548 0.0000
8 Pt 0.0000 0.0000 0.5000
9 Pt 0.0000 0.5000 0.0000
10 Pt 0.0000 0.5000 0.5000
11 Pt 0.1228 0.3710 0.7518
12 Pt 0.1318 0.3994 0.2676
13 Pt 0.1318 0.8643 0.7324
14 Pt 0.1357 0.8682 0.2676
15 Pt 0.3710 0.1228 0.7518
16 Pt 0.3710 0.6192 0.2482
17 Pt 0.3808 0.6290 0.7518
18 Pt 0.3994 0.1318 0.2676
19 Pt 0.5000 0.0000 0.0000
20 Pt 0.5000 0.0000 0.5000
21 Pt 0.5000 0.5000 0.0000
22 Pt 0.5000 0.5000 0.5000
23 Pt 0.6006 0.8682 0.7324
24 Pt 0.6192 0.3710 0.2482
25 Pt 0.6290 0.3808 0.7518
26 Pt 0.6290 0.8772 0.2482
27 Pt 0.8643 0.1318 0.7324
28 Pt 0.8682 0.1357 0.2676
29 Pt 0.8682 0.6006 0.7324
30 Pt 0.8772 0.6290 0.2482

The 8 most intense peaks (5 to 70 degrees two-theta), low angle first:
2θ (°)  intensity
25.05  10
39.40  100
41.44  3
45.42  33
46.58  15
52.57  3
66.19  11
67.09  20


# 7
For Th3PdPt2, a DFT-relaxed cell (GGA-PBE, Alexandria) gives the calculated X-ray diffraction stick pattern in this record (Cu Kα).
Lines closer than 0.1° are merged.

Crystal structure
Lattice parameters (Å, degrees): 7.0962 7.0962 7.0962 144.28 130.38 62.63
Fractional positions:
1 Th 0.0000 0.0000 0.0000
2 Th 0.3308 0.3308 0.0000
3 Th 0.6692 0.6692 0.0000
4 Pd 0.5000 0.0000 0.5000
5 Pt 0.1658 0.6658 0.5000
6 Pt 0.8342 0.3342 0.5000

The 8 most intense peaks (5 to 70 degrees two-theta), low angle first:
2θ (°)  intensity
30.01  51
30.18  100
41.49  21
43.08  77
44.85  17
52.05  22
54.91  19
62.74  13


# 8
For ThPd4Pt5, a DFT-relaxed cell (GGA-PBE, Alexandria) gives the calculated X-ray diffraction stick pattern in this record (Cu Kα).
Lines closer than 0.1° are merged.

Crystal structure
Lattice parameters (Å, degrees): 8.9447 9.0489 4.4989 90.00 90.00 90.00
Fractional positions:
1 Th 0.2500 0.2500 0.2501
2 Th 0.7500 0.7500 0.7499
3 Pd 0.0100 0.2500 0.7501
4 Pd 0.2500 0.5707 0.2479
5 Pd 0.2500 0.9293 0.2479
6 Pd 0.4900 0.2500 0.7501
7 Pd 0.5100 0.7500 0.2499
8 Pd 0.7500 0.0707 0.7521
9 Pd 0.7500 0.4293 0.7521
10 Pd 0.9900 0.7500 0.2499
11 Pt 0.0311 0.5634 0.7499
12 Pt 0.0311 0.9366 0.7499
13 Pt 0.2500 0.7500 0.7472
14 Pt 0.4689 0.5634 0.7499
15 Pt 0.4689 0.9366 0.7499
16 Pt 0.5311 0.0634 0.2501
17 Pt 0.5311 0.4366 0.2501
18 Pt 0.7500 0.2500 0.2528
19 Pt 0.9689 0.0634 0.2501
20 Pt 0.9689 0.4366 0.2501

The 8 most intense peaks (5 to 70 degrees two-theta), low angle first:
2θ (°)  intensity
22.07  18
28.05  19
36.14  16
40.08  31
40.33  23
41.31  100
49.64  8
58.17  16


# 9
For Th3Pd12Pt4, a DFT-relaxed cell (GGA-PBE, Alexandria) gives the calculated X-ray diffraction stick pattern in this record (Cu Kα).
Lines closer than 0.1° are merged.

Crystal structure
Lattice parameters (Å, degrees): 8.5019 8.5019 8.5019 109.47 109.47 109.47
Fractional positions:
1 Th 0.0000 0.5000 0.5000
2 Th 0.5000 0.0000 0.5000
3 Th 0.5000 0.5000 0.0000
4 Pd 0.0792 0.7329 0.3463
5 Pd 0.2671 0.3463 0.6134
6 Pd 0.2671 0.6537 0.9208
7 Pd 0.3463 0.0792 0.7329
8 Pd 0.3463 0.6134 0.2671
9 Pd 0.3866 0.7329 0.6537
10 Pd 0.6134 0.2671 0.3463
11 Pd 0.6537 0.3866 0.7329
12 Pd 0.6537 0.9208 0.2671
13 Pd 0.7329 0.3463 0.0792
14 Pd 0.7329 0.6537 0.3866
15 Pd 0.9208 0.2671 0.6537
16 Pt 0.0000 0.0000 0.5000
17 Pt 0.0000 0.5000 0.0000
18 Pt 0.5000 0.0000 0.0000
19 Pt 0.5000 0.5000 0.5000

The 8 most intense peaks (5 to 70 degrees two-theta), low angle first:
2θ (°)  intensity
12.75  88
25.67  72
34.17  34
36.61  54
41.12  25
45.25  100
47.21  17
59.56  19


# 10
For ThPd6Pt2, a DFT-relaxed cell (GGA-PBE, Alexandria) gives the calculated X-ray diffraction stick pattern in this record (Cu Kα).
Lines closer than 0.1° are merged.

Crystal structure
Lattice parameters (Å, degrees): 4.9700 5.0530 6.4286 83.00 74.74 80.17
Fractional positions:
1 Th 0.0000 0.0000 0.0000
2 Pd 0.1094 0.2260 0.5463
3 Pd 0.3275 0.6568 0.6706
4 Pd 0.4449 0.8873 0.2380
5 Pd 0.5551 0.1127 0.7620
6 Pd 0.6725 0.3432 0.3294
7 Pd 0.8906 0.7740 0.4537
8 Pt 0.2357 0.4424 0.1120
9 Pt 0.7643 0.5576 0.8880

The 8 most intense peaks (5 to 70 degrees two-theta), low angle first:
2θ (°)  intensity
37.97  100
38.05  98
38.27  98
38.50  98
43.98  66
44.55  62
44.66  63
65.01  40


# 11
For TmThPdPt, a DFT-relaxed cell (GGA-PBE, Alexandria) gives the calculated X-ray diffraction stick pattern in this record (Cu Kα).
Lines closer than 0.1° are merged.

Crystal structure
Lattice parameters (Å, degrees): 4.5234 5.7217 5.7217 38.76 90.00 90.00
Fractional positions:
1 Tm 0.0000 0.0000 0.0000
2 Th 0.5000 0.2746 0.2746
3 Pd 0.5000 0.5469 0.5469
4 Pt 0.0000 0.7287 0.7287

The 8 most intense peaks (5 to 70 degrees two-theta), low angle first:
2θ (°)  intensity
31.87  100
33.20  33
34.33  16
38.86  16
39.86  93
47.92  18
52.81  28
64.04  15


# 12
For TiPdPt14, a DFT-relaxed cell (GGA-PBE, Alexandria) gives the calculated X-ray diffraction stick pattern in this record (Cu Kα).
Lines closer than 0.1° are merged.

Crystal structure
Lattice parameters (Å, degrees): 5.6403 5.6403 7.8186 90.00 90.00 90.00
Fractional positions:
1 Ti 0.0000 0.0000 0.0000
2 Pd 0.5000 0.5000 0.0000
3 Pt 0.0000 0.0000 0.5000
4 Pt 0.0000 0.5000 0.0000
5 Pt 0.0000 0.5000 0.5000
6 Pt 0.2469 0.2469 0.2448
7 Pt 0.2469 0.2469 0.7552
8 Pt 0.2469 0.7531 0.2448
9 Pt 0.2469 0.7531 0.7552
10 Pt 0.5000 0.0000 0.0000
11 Pt 0.5000 0.0000 0.5000
12 Pt 0.5000 0.5000 0.5000
13 Pt 0.7531 0.2469 0.2448
14 Pt 0.7531 0.2469 0.7552
15 Pt 0.7531 0.7531 0.2448
16 Pt 0.7531 0.7531 0.7552

The 8 most intense peaks (5 to 70 degrees two-theta), low angle first:
2θ (°)  intensity
11.32  2
25.06  2
33.79  1
39.40  100
45.49  33
46.46  16
66.28  11
67.05  21